Diffraction record for Th5C4. The powder diffractogram is theoretical, not measured: it uses a cell relaxed with GGA-PBE and Cu Kα (λ = 1.5418 Å).
Kinematic intensities with the Lorentz-polarization factor, no thermal factor.

Top 10 peaks for 10° ≤ 2θ ≤ 80°, in order of rising 2θ:
| 2θ (°) | I (rel.) | hkl |
| --- | --- | --- |
| 28.9 | 33 | 0 0 15 |
| 29.0 | 100 | 0 1 5 |
| 33.6 | 80 | 1 0 10 |
| 48.2 | 28 | 0 1 20 |
| 48.3 | 30 | 1 1 0 |
| 57.2 | 15 | 1 0 25 |
| 57.3 | 47 | 2 0 5 |
| 60.2 | 15 | 0 2 10 |
| 70.6 | 9 | 2 0 20 |
| 78.2 | 13 | 1 2 5 |

Crystal structure
a = 3.7666 Å, b = 3.7666 Å, c = 46.3064 Å
α = 90.00°, β = 90.00°, γ = 120.00°
Space group R-3m (No. 166, hexagonal axes)
Unique sites:
Th  0.0000  0.0000  0.0000
Th  0.0000  0.0000  0.2026
Th  0.0000  0.0000  0.3994
C  0.0000  0.0000  0.1039
C  0.0000  0.0000  0.2988